Entry 1:
Calculated XRD peak list of Al3Tc2Ge2 for λ = 1.5418 Å (Cu Kα), from a crystal structure in Alexandria, relaxed with GGA-PBE.

Atomic structure:
Cell: 3.1408 4.0865 16.8534 Å, 90.00 90.00 90.00°
Fractional coordinates of all 14 atoms:
Al: 0.0000 0.0000 0.0000
Al: 0.0000 0.0000 0.2618
Al: 0.0000 0.0000 0.7382
Al: 0.5000 0.5000 0.2382
Al: 0.5000 0.5000 0.5000
Al: 0.5000 0.5000 0.7618
Tc: 0.0000 0.5000 0.3655
Tc: 0.0000 0.5000 0.6345
Tc: 0.5000 0.0000 0.1345
Tc: 0.5000 0.0000 0.8655
Ge: 0.0000 0.5000 0.0960
Ge: 0.0000 0.5000 0.9040
Ge: 0.5000 0.0000 0.4040
Ge: 0.5000 0.0000 0.5960

Principal peaks in the range 2θ = 5–70°, sorted by position:
hkl, 2θ/deg, d (Å), I_rel
0 0 4, 21.1, 4.213, 54
0 1 3, 27.0, 3.305, 9
1 0 3, 32.7, 2.741, 20
1 1 0, 36.1, 2.490, 38
1 1 4, 42.2, 2.144, 100
0 0 8, 42.9, 2.107, 11
0 1 7, 43.6, 2.074, 30
0 2 0, 44.3, 2.043, 27
1 0 7, 47.6, 1.911, 10
0 2 4, 49.6, 1.838, 11
2 0 0, 58.8, 1.570, 11
1 0 11, 68.1, 1.377, 13



Entry 2:
Calculated XRD peak list of Th4AlGe for λ = 1.5418 Å (Cu Kα), from a crystal structure in Alexandria, relaxed with GGA-PBE.

Atomic structure:
Cell: 7.5141 7.5141 5.9522 Å, 90.00 90.00 90.00°
Fractional coordinates of all 12 atoms:
Th: 0.1603 0.3397 0.2500
Th: 0.1603 0.6603 0.7500
Th: 0.3397 0.1603 0.7500
Th: 0.3397 0.8397 0.2500
Th: 0.6603 0.1603 0.2500
Th: 0.6603 0.8397 0.7500
Th: 0.8397 0.3397 0.7500
Th: 0.8397 0.6603 0.2500
Al: 0.0000 0.0000 0.5000
Al: 0.5000 0.5000 0.0000
Ge: 0.0000 0.0000 0.0000
Ge: 0.5000 0.5000 0.5000

Principal peaks in the range 2θ = 5–70°, sorted by position:
hkl, 2θ/deg, d (Å), I_rel
0 0 2, 30.0, 2.976, 17
2 1 1, 30.5, 2.926, 100
1 1 2, 34.5, 2.597, 10
3 1 0, 37.9, 2.376, 20
2 0 2, 38.6, 2.333, 14
3 1 2, 49.1, 1.857, 8
3 3 0, 51.6, 1.771, 8
4 1 1, 52.5, 1.743, 17
2 1 3, 53.6, 1.709, 21
4 0 2, 58.1, 1.589, 8
3 3 2, 60.9, 1.522, 15
5 2 1, 69.1, 1.359, 13



Entry 3:
Calculated XRD peak list of ThAlGe2W for λ = 1.5418 Å (Cu Kα), from a crystal structure in Alexandria, relaxed with GGA-PBE.

Atomic structure:
Cell: 5.7039 5.8822 5.8846 Å, 90.00 90.00 90.00°
Fractional coordinates of all 10 atoms:
Th: 0.2500 0.0000 0.2220
Th: 0.7500 0.0000 0.7780
Al: 0.2500 0.5000 0.3812
Al: 0.7500 0.5000 0.6188
Ge: 0.2500 0.2284 0.7256
Ge: 0.2500 0.7716 0.7256
Ge: 0.7500 0.2284 0.2744
Ge: 0.7500 0.7716 0.2744
W: 0.0000 0.5000 0.0000
W: 0.5000 0.5000 0.0000

Principal peaks in the range 2θ = 5–70°, sorted by position:
hkl, 2θ/deg, d (Å), I_rel
0 0 1, 15.1, 5.885, 46
0 1 1, 21.4, 4.160, 21
1 1 1, 26.5, 3.361, 51
0 2 0, 30.4, 2.941, 31
0 1 2, 34.1, 2.631, 91
2 1 0, 35.0, 2.566, 74
1 2 1, 37.7, 2.389, 100
2 1 1, 38.3, 2.352, 34
2 0 2, 44.2, 2.048, 58
1 3 1, 51.7, 1.769, 28
3 2 1, 60.0, 1.541, 26
0 4 0, 63.2, 1.471, 18